# La2TlTe3
Simulated PXRD pattern, λ = 1.5418 Å (Cu Kα). Input: a structure optimized by DFT (PBE).

Structure:
```
data_La2TlTe3
_chemical_formula_sum 'La4 Tl2 Te6'
_cell_length_a 4.5818
_cell_length_b 4.5818
_cell_length_c 24.3241
_cell_angle_alpha 90.00
_cell_angle_beta 90.00
_cell_angle_gamma 120.00
_symmetry_space_group_name_H-M 'P 63/m m c'
_symmetry_Int_Tables_number 194
_symmetry_space_group_name_Hall '-P 6c 2c'
loop_
_atom_site_label
_atom_site_type_symbol
_atom_site_fract_x
_atom_site_fract_y
_atom_site_fract_z
_atom_site_occupancy
La1 La 0.3333 0.6667 0.0786 1
Tl1 Tl 0.0000 0.0000 0.2500 1
Te1 Te 0.0000 0.0000 0.0000 1
Te2 Te 0.3333 0.6667 0.6545 1
```

Principal peaks in the range 10 to 80 degrees two-theta, by angle:
h k l, Position (°2θ), I (rel.)
1 0 4, 26.8, 100
1 0 5, 29.0, 49
1 0 8, 37.3, 32
1 1 0, 39.3, 59
1 0 9, 40.4, 20
1 1 12, 61.0, 24


# Tb10NdSc4
Simulated PXRD pattern, λ = 1.5418 Å (Cu Kα). Input: a structure optimized by DFT (PBE).

Structure:
```
data_Tb10NdSc4
_chemical_formula_sum 'Tb20 Nd2 Sc8'
_cell_length_a 11.114
_cell_length_b 11.114
_cell_length_c 8.081
_cell_angle_alpha 90.00
_cell_angle_beta 90.00
_cell_angle_gamma 90.00
_symmetry_space_group_name_H-M 'I 4/m'
_symmetry_Int_Tables_number 87
_symmetry_space_group_name_Hall '-I 4'
loop_
_atom_site_label
_atom_site_type_symbol
_atom_site_fract_x
_atom_site_fract_y
_atom_site_fract_z
_atom_site_occupancy
Tb1 Tb 0.000 0.500 0.250 1
Tb2 Tb 0.114 0.769 0.199 1
Nd1 Nd 0.000 0.000 0.000 1
Sc1 Sc 0.067 0.214 0.500 1
```

Principal peaks in the range 10 to 80 degrees two-theta, by angle:
h k l, Position (°2θ), I (rel.)
0 0 2, 22.0, 35
1 3 0, 25.3, 82
1 3 2, 33.8, 100
4 2 0, 36.1, 57
1 2 3, 38.0, 34
4 2 2, 42.7, 28


# SnSb6Ru
Simulated PXRD pattern, λ = 1.5418 Å (Cu Kα). Input: a structure optimized by DFT (PBE).

Structure:
```
data_SnSb6Ru
_chemical_formula_sum 'Sn4 Sb24 Ru4'
_cell_length_a 13.894
_cell_length_b 9.659
_cell_length_c 9.919
_cell_angle_alpha 90.00
_cell_angle_beta 134.40
_cell_angle_gamma 90.00
_symmetry_space_group_name_H-M 'C 1 2/m 1'
_symmetry_Int_Tables_number 12
loop_
_symmetry_equiv_pos_as_xyz
'x,y,z'
'-x,-y,-z'
'-x,y,-z'
'x,-y,z'
'x+1/2,y+1/2,z'
'-x+1/2,-y+1/2,-z'
'-x+1/2,y+1/2,-z'
'x+1/2,-y+1/2,z'
loop_
_atom_site_label
_atom_site_type_symbol
_atom_site_fract_x
_atom_site_fract_y
_atom_site_fract_z
_atom_site_occupancy
Sn1 Sn 0.250 0.250 0.000 1
Sb1 Sb 0.022 0.150 0.373 1
Sb2 Sb 0.126 0.500 0.758 1
Sb3 Sb 0.146 0.347 0.170 1
Sb4 Sb 0.180 0.500 0.520 1
Ru1 Ru 0.250 0.250 0.500 1
```

Principal peaks in the range 10 to 80 degrees two-theta, by angle:
h k l, Position (°2θ), I (rel.)
2 0 -3, 28.3, 39
3 1 0, 28.5, 94
4 0 -3, 28.6, 51
1 3 -1, 29.2, 100
4 2 -4, 40.9, 40
2 4 0, 41.6, 44


# ScAlZn11
Simulated PXRD pattern, λ = 1.5418 Å (Cu Kα). Input: a structure optimized by DFT (PBE).

Structure:
```
data_ScAlZn11
_chemical_formula_sum 'Sc2 Al2 Zn22'
_cell_length_a 5.221
_cell_length_b 12.435
_cell_length_c 6.740
_cell_angle_alpha 90.00
_cell_angle_beta 112.68
_cell_angle_gamma 90.00
_symmetry_space_group_name_H-M 'C 1 2/m 1'
_symmetry_Int_Tables_number 12
loop_
_symmetry_equiv_pos_as_xyz
'x,y,z'
'-x,-y,-z'
'-x,y,-z'
'x,-y,z'
'x+1/2,y+1/2,z'
'-x+1/2,-y+1/2,-z'
'-x+1/2,y+1/2,-z'
'x+1/2,-y+1/2,z'
loop_
_atom_site_label
_atom_site_type_symbol
_atom_site_fract_x
_atom_site_fract_y
_atom_site_fract_z
_atom_site_occupancy
Sc1 Sc 0.000 0.000 0.000 1
Al1 Al 0.000 0.000 0.500 1
Zn1 Zn 0.000 0.500 0.500 1
Zn2 Zn 0.103 0.392 0.212 1
Zn3 Zn 0.175 0.176 0.350 1
Zn4 Zn 0.250 0.250 0.000 1
```

Principal peaks in the range 10 to 80 degrees two-theta, by angle:
h k l, Position (°2θ), I (rel.)
1 3 1, 35.1, 45
2 2 0, 40.2, 66
1 5 -1, 40.8, 100
0 4 2, 41.1, 56
2 0 -3, 45.4, 82
1 5 -2, 46.0, 44